For Pr2NdErBi4, a DFT-relaxed cell (GGA-PBE, Alexandria) gives the theoretical powder diffraction line list in this record (copper Kα).

Principal peaks in the range 2θ = 10–80°, sorted by position:
hkl	2theta	I/Imax
1 1 -1	23.76	5
1 1 1	27.50	100
0 2 0	39.28	78
0 2 2	46.43	3
2 2 -2	48.62	29
2 2 2	56.77	14
1 3 -1	62.40	1
1 3 1	64.21	37
1 3 -3	71.21	28
3 3 -3	76.27	1

Atomic structure:
abc: 7.942 4.590 7.944
angles: 90.00 109.49 90.00
Atoms (fractional coordinates):
Pr: 0.000 0.000 0.000
Pr: 0.000 0.500 0.500
Nd: 0.500 0.000 0.500
Er: 0.500 0.500 0.000
Bi: 0.256 0.500 0.247
Bi: 0.259 0.000 0.758
Bi: 0.741 0.000 0.242
Bi: 0.744 0.500 0.753



For Ba2MgZn3Pt4, a DFT-relaxed cell (GGA-PBE, Alexandria) gives the theoretical powder diffraction line list in this record (copper Kα).

Principal peaks in the range 2θ = 10–80°, sorted by position:
hkl	2theta	I/Imax
1 1 1	29.74	35
1 0 3	31.59	56
1 1 2	32.94	100
2 0 0	40.88	70
1 1 4	43.70	39
1 0 5	45.84	31
2 1 3	52.57	27
2 2 0	59.20	24
2 1 5	63.08	24
3 1 2	69.43	23

Atomic structure:
abc: 4.415 4.415 11.075
angles: 90.00 90.00 90.00
Atoms (fractional coordinates):
Ba: 0.000 0.500 0.241
Ba: 0.500 0.000 0.759
Mg: 0.000 0.000 0.500
Zn: 0.000 0.500 0.876
Zn: 0.500 0.000 0.124
Zn: 0.500 0.500 0.500
Pt: 0.000 0.000 0.000
Pt: 0.000 0.500 0.637
Pt: 0.500 0.000 0.363
Pt: 0.500 0.500 0.000



Question: What is the formula in the first record?
Answer: Pr2NdErBi4



Please write out number 1 again, unchanged.
For Pr2NdErBi4, a DFT-relaxed cell (GGA-PBE, Alexandria) gives the theoretical powder diffraction line list in this record (copper Kα).

Principal peaks in the range 2θ = 10–80°, sorted by position:
hkl	2theta	I/Imax
1 1 -1	23.76	5
1 1 1	27.50	100
0 2 0	39.28	78
0 2 2	46.43	3
2 2 -2	48.62	29
2 2 2	56.77	14
1 3 -1	62.40	1
1 3 1	64.21	37
1 3 -3	71.21	28
3 3 -3	76.27	1

Atomic structure:
abc: 7.942 4.590 7.944
angles: 90.00 109.49 90.00
Atoms (fractional coordinates):
Pr: 0.000 0.000 0.000
Pr: 0.000 0.500 0.500
Nd: 0.500 0.000 0.500
Er: 0.500 0.500 0.000
Bi: 0.256 0.500 0.247
Bi: 0.259 0.000 0.758
Bi: 0.741 0.000 0.242
Bi: 0.744 0.500 0.753